Entry 1:
Computed powder diffraction line list of K2MoS2O10 for CuKα, from a crystal structure in the Materials Project, relaxed with PBE+U.
Kinematic intensities with the Lorentz-polarization factor, no thermal factor.

Main lines, by angle (2θ from 10° to 80°):
2theta  Rel. int.  hkl
12.54  100  1 1 0
13.88  37  0 2 0
17.43  59  0 2 1
18.78  46  1 1 1
23.43  25  0 3 1
24.48  86  2 1 -2
26.98  27  1 0 2
27.33  87  1 3 1
27.86  19  1 1 2
30.69  26  3 0 -2
32.52  33  3 2 -1
38.42  17  0 3 3

Structure:
```
data_K2MoS2O10
_chemical_formula_sum 'K8 Mo4 S8 O40'
_symmetry_space_group_name_H-M 'P 1 21/c 1'
_symmetry_Int_Tables_number 14
_cell_length_a 9.1632
_cell_length_b 12.7605
_cell_length_c 9.1048
_cell_angle_alpha 90.00
_cell_angle_beta 112.32
_cell_angle_gamma 90.00
loop_
_symmetry_equiv_pos_as_xyz
'x,y,z'
'-x,-y,-z'
'-x,y+1/2,-z+1/2'
'x,-y+1/2,z+1/2'
loop_
_atom_site_label
_atom_site_type_symbol
_atom_site_fract_x
_atom_site_fract_y
_atom_site_fract_z
K1 K 0.1782 0.1195 0.2059
K2 K 0.3045 0.0159 0.6995
Mo1 Mo 0.2784 0.6675 0.6538
S1 S 0.0691 0.6421 0.8739
S2 S 0.4633 0.2001 0.0270
O1 O 0.0778 0.5281 0.8657
O2 O 0.0849 0.1811 0.6396
O3 O 0.1000 0.6917 0.7314
O4 O 0.1639 0.6028 0.4811
O5 O 0.1989 0.6794 0.0238
O6 O 0.3600 0.5667 0.7869
O7 O 0.3714 0.2039 0.4991
O8 O 0.3765 0.1044 0.0292
O9 O 0.3887 0.7048 0.3251
O10 O 0.4796 0.6871 0.6127
```

---

Entry 2:
Computed powder diffraction line list of SrEuNiO4 for CuKα, from a crystal structure in the Materials Project, relaxed with PBE+U.
Kinematic intensities with the Lorentz-polarization factor, no thermal factor.

Main lines, by angle (2θ from 10° to 80°):
2theta  Rel. int.  hkl
24.19  16  1 1 1
29.01  11  0 4 0
31.85  100  1 3 1
32.86  74  2 0 0
43.62  17  1 5 1
44.14  11  0 6 0
44.40  29  2 4 0
47.16  38  2 0 2
56.10  12  2 6 0
58.03  37  3 3 1
66.17  9  3 5 1
66.57  11  2 6 2

Structure:
```
data_SrEuNiO4
_chemical_formula_sum 'Sr4 Eu4 Ni4 O16'
_symmetry_space_group_name_H-M 'C m c m'
_symmetry_Int_Tables_number 63
_symmetry_space_group_name_Hall '-C 2c 2'
_cell_length_a 5.4459
_cell_length_b 12.3113
_cell_length_c 5.4566
_cell_angle_alpha 90.00
_cell_angle_beta 90.00
_cell_angle_gamma 90.00
loop_
_atom_site_label
_atom_site_type_symbol
_atom_site_fract_x
_atom_site_fract_y
_atom_site_fract_z
Sr1 Sr 0.0000 0.1073 0.2500
Eu1 Eu 0.0000 0.3879 0.2500
Ni1 Ni 0.0000 0.2507 0.7500
O1 O 0.0000 0.0908 0.7500
O2 O 0.0000 0.4209 0.7500
O3 O 0.2500 0.2500 0.0000
```

---

Entry 3:
Computed powder diffraction line list of Li9Mn2Co5O16 for CuKα, from a crystal structure in the Materials Project, relaxed with PBE+U.
Kinematic intensities with the Lorentz-polarization factor, no thermal factor.

Main lines, by angle (2θ from 10° to 80°):
2theta  Rel. int.  hkl
11.92  9  1 1 0
18.35  100  2 0 0
35.94  14  2 0 -2
36.36  26  0 4 1
37.75  8  2 4 -1
43.14  28  4 0 -2
44.10  52  2 4 1
47.59  9  4 4 -1
58.04  9  4 4 1
62.84  15  6 4 -1
63.94  21  2 4 -3
67.56  9  0 4 3

Structure:
```
data_Li9Mn2Co5O16
_chemical_formula_sum 'Li18 Mn4 Co10 O32'
_symmetry_space_group_name_H-M 'C 1 2 1'
_symmetry_Int_Tables_number 5
_cell_length_a 10.3196
_cell_length_b 11.5837
_cell_length_c 5.0539
_cell_angle_alpha 90.00
_cell_angle_beta 110.45
_cell_angle_gamma 90.00
loop_
_symmetry_equiv_pos_as_xyz
'x,y,z'
'-x,y,-z'
'x+1/2,y+1/2,z'
'-x+1/2,y+1/2,-z'
loop_
_atom_site_label
_atom_site_type_symbol
_atom_site_fract_x
_atom_site_fract_y
_atom_site_fract_z
Li1 Li 0.0000 0.0000 0.0000
Li2 Li 0.2382 0.8763 0.0062
Li3 Li 0.2408 0.9991 0.4836
Li4 Li 0.2462 0.7472 0.5018
Li5 Li 0.2489 0.1222 0.0006
Mn1 Mn 0.0000 0.1225 0.5000
Mn2 Mn 0.0000 0.3746 0.5000
Co1 Co 0.0000 0.2479 0.0000
Co2 Co 0.0000 0.4979 0.0000
Co3 Co 0.0000 0.6267 0.5000
Co4 Co 0.0000 0.7554 0.0000
Co5 Co 0.0000 0.8772 0.5000
O1 O 0.1046 0.3735 0.2436
O2 O 0.1075 0.2501 0.7461
O3 O 0.1091 0.6168 0.2325
O4 O 0.1103 0.1339 0.2570
O5 O 0.1164 0.0057 0.7243
O6 O 0.1176 0.4918 0.7268
O7 O 0.1179 0.7469 0.7414
O8 O 0.1185 0.8668 0.2524
```

---

Entry 4:
Computed powder diffraction line list of Li4Mn5NbO12 for CuKα, from a crystal structure in the Materials Project, relaxed with PBE+U.
Kinematic intensities with the Lorentz-polarization factor, no thermal factor.

Main lines, by angle (2θ from 10° to 80°):
2theta  Rel. int.  hkl
16.91  100  0 0 4
32.88  10  2 0 -2
34.44  12  2 0 2
34.68  11  1 3 1
36.07  16  1 3 -3
39.78  13  2 0 -6
41.41  17  1 3 5
43.68  7  2 0 6
44.95  15  1 3 -7
53.76  10  1 3 9
58.62  8  1 3 -11
58.93  10  3 3 -1

Structure:
```
data_Li4Mn5NbO12
_chemical_formula_sum 'Li16 Mn20 Nb4 O48'
_symmetry_space_group_name_H-M 'C 1 2 1'
_symmetry_Int_Tables_number 5
_cell_length_a 5.5278
_cell_length_b 8.9403
_cell_length_c 21.0614
_cell_angle_alpha 90.00
_cell_angle_beta 95.24
_cell_angle_gamma 90.00
loop_
_symmetry_equiv_pos_as_xyz
'x,y,z'
'-x,y,-z'
'x+1/2,y+1/2,z'
'-x+1/2,y+1/2,-z'
loop_
_atom_site_label
_atom_site_type_symbol
_atom_site_fract_x
_atom_site_fract_y
_atom_site_fract_z
Li1 Li 0.1406 0.9995 0.3955
Li2 Li 0.1406 0.3556 0.3955
Li3 Li 0.1410 0.8555 0.8955
Li4 Li 0.1417 0.5000 0.8954
Mn1 Mn 0.0000 0.0147 0.0000
Mn2 Mn 0.0000 0.1775 0.5000
Mn3 Mn 0.0000 0.3425 0.0000
Mn4 Mn 0.0000 0.5136 0.5000
Mn5 Mn 0.0000 0.6770 0.0000
Mn6 Mn 0.0000 0.8415 0.5000
Mn7 Mn 0.2500 0.0118 0.7503
Mn8 Mn 0.2502 0.3432 0.7502
Nb1 Nb 0.2499 0.1775 0.2500
O1 O 0.0985 0.1775 0.7940
O2 O 0.0987 0.6775 0.2936
O3 O 0.1344 0.0080 0.3019
O4 O 0.1345 0.3471 0.3019
O5 O 0.1344 0.8470 0.8021
O6 O 0.1346 0.5080 0.8021
O7 O 0.1451 0.4957 0.0552
O8 O 0.1450 0.8610 0.0546
O9 O 0.1458 0.3607 0.5549
O10 O 0.1458 0.9943 0.5549
O11 O 0.2025 0.1779 0.0453
O12 O 0.2017 0.6775 0.5452
```

---

Entry 5:
Computed powder diffraction line list of Li4Mn3Co2Te3O16 for CuKα, from a crystal structure in the Materials Project, relaxed with PBE+U.
Kinematic intensities with the Lorentz-polarization factor, no thermal factor.

Main lines, by angle (2θ from 10° to 80°):
2theta  Rel. int.  hkl
16.34  25  1 1 0
18.05  100  0 0 2
18.54  85  1 1 1
18.82  22  1 0 -1
24.19  19  1 1 2
24.69  18  1 1 -2
32.96  17  0 2 0
33.62  19  2 1 2
34.13  54  2 0 1
34.27  27  0 2 -1
34.47  36  2 2 -1
58.86  30  2 -2 0

Structure:
```
data_Li4Mn3Co2Te3O16
_chemical_formula_sum 'Li4 Mn3 Co2 Te3 O16'
_symmetry_space_group_name_H-M 'P 1'
_symmetry_Int_Tables_number 1
_cell_length_a 6.2606
_cell_length_b 6.2756
_cell_length_c 9.8340
_cell_angle_alpha 89.09
_cell_angle_beta 88.74
_cell_angle_gamma 60.11
loop_
_symmetry_equiv_pos_as_xyz
'x,y,z'
loop_
_atom_site_label
_atom_site_type_symbol
_atom_site_fract_x
_atom_site_fract_y
_atom_site_fract_z
Li1 Li 0.0000 0.0000 0.0000
Li2 Li 0.0048 0.9878 0.5095
Li3 Li 0.3541 0.2919 0.1094
Li4 Li 0.6746 0.6496 0.6289
Mn1 Mn 0.1835 0.6608 0.7895
Mn2 Mn 0.6763 0.1628 0.7891
Mn3 Mn 0.8553 0.8172 0.2890
Co1 Co 0.3460 0.3568 0.5208
Co2 Co 0.7051 0.6685 0.0015
Te1 Te 0.1837 0.1682 0.7893
Te2 Te 0.3622 0.8185 0.2870
Te3 Te 0.8502 0.3271 0.2900
O1 O 0.0096 0.0312 0.6902
O2 O 0.0494 0.4754 0.6802
O3 O 0.1387 0.1857 0.4069
O4 O 0.1782 0.6749 0.4140
O5 O 0.3228 0.8527 0.8948
O6 O 0.3531 0.2957 0.9016
O7 O 0.4683 0.0318 0.6636
O8 O 0.4916 0.4688 0.6834
O9 O 0.5462 0.9345 0.1524
O10 O 0.5507 0.4851 0.1712
O11 O 0.6926 0.6282 0.4054
O12 O 0.6994 0.1772 0.4029
O13 O 0.8626 0.8451 0.8905
O14 O 0.8832 0.3175 0.9044
O15 O 0.9887 0.4765 0.1705
O16 O 0.9951 0.0250 0.1830
```

---

Entry 6:
Computed powder diffraction line list of Li9Mn2Co5O16 for CuKα, from a crystal structure in the Materials Project, relaxed with PBE+U.
Kinematic intensities with the Lorentz-polarization factor, no thermal factor.

Main lines, by angle (2θ from 10° to 80°):
2theta  Rel. int.  hkl
18.37  100  1 0 0
34.86  17  1 2 2
36.53  25  1 2 -2
37.72  7  0 2 -2
41.87  30  0 2 2
44.43  50  2 2 -2
47.42  9  1 0 -4
58.48  9  3 0 4
62.59  14  2 -2 2
62.73  7  2 2 6
62.85  8  2 4 0
65.21  9  0 2 -6

Structure:
```
data_Li9Mn2Co5O16
_chemical_formula_sum 'Li9 Mn2 Co5 O16'
_symmetry_space_group_name_H-M 'P 1'
_symmetry_Int_Tables_number 1
_cell_length_a 5.8124
_cell_length_b 5.9248
_cell_length_c 10.0409
_cell_angle_alpha 87.63
_cell_angle_beta 73.20
_cell_angle_gamma 60.88
loop_
_symmetry_equiv_pos_as_xyz
'x,y,z'
loop_
_atom_site_label
_atom_site_type_symbol
_atom_site_fract_x
_atom_site_fract_y
_atom_site_fract_z
Li1 Li 0.0000 0.0000 0.0000
Li2 Li 0.0017 0.7520 0.7521
Li3 Li 0.0087 0.2381 0.7471
Li4 Li 0.0146 0.7397 0.2397
Li5 Li 0.0241 0.4830 0.4869
Li6 Li 0.0291 0.2198 0.2331
Li7 Li 0.0433 0.9580 0.4762
Li8 Li 0.5143 0.7390 0.2420
Li9 Li 0.9841 0.5203 0.0110
Mn1 Mn 0.5165 0.7339 0.7436
Mn2 Mn 0.5214 0.9809 0.4907
Co1 Co 0.5024 0.4997 0.0030
Co2 Co 0.5081 0.9894 0.9960
Co3 Co 0.5118 0.2410 0.2414
Co4 Co 0.5146 0.2352 0.7432
Co5 Co 0.5180 0.4876 0.4897
O1 O 0.2567 0.3788 0.1201
O2 O 0.2799 0.8744 0.6225
O3 O 0.2810 0.6151 0.8620
O4 O 0.2845 0.1165 0.3753
O5 O 0.2855 0.8620 0.1047
O6 O 0.2963 0.5881 0.3745
O7 O 0.3108 0.0750 0.8552
O8 O 0.3161 0.3257 0.6080
O9 O 0.7179 0.3956 0.6287
O10 O 0.7222 0.1297 0.8719
O11 O 0.7263 0.6414 0.3883
O12 O 0.7299 0.8948 0.1135
O13 O 0.7459 0.3635 0.1157
O14 O 0.7471 0.8566 0.6192
O15 O 0.7562 0.6041 0.8577
O16 O 0.7602 0.0950 0.3718
```